Simulated powder X-ray diffraction pattern
Compound: Li5Co2Cu5O12
Radiation: Cu Kα (λ = 1.5418 Å)
Structure: a cell relaxed with PBE+U
Peak positions follow from Bragg's law for the DFT cell and can differ from measured ones.

Crystal structure
Lattice parameters (Å, degrees): 5.1647 8.6197 9.6586 90.00 95.51 90.00
Space group C2 (No. 5)
Unique sites:
Li  0.0000  0.0000  0.0000
Li  0.2320  0.8248  0.2459
Li  0.2371  0.4972  0.2429
Co  0.0000  0.1583  0.5000
Co  0.0000  0.6606  0.0000
Cu  0.0000  0.3271  0.0000
Cu  0.0000  0.4925  0.5000
Cu  0.0000  0.8237  0.5000
Cu  0.2381  0.1573  0.2468
O  0.1250  0.5057  0.8816
O  0.1368  0.0040  0.3794
O  0.1412  0.3146  0.3839
O  0.1447  0.8100  0.8799
O  0.1699  0.6574  0.3919
O  0.1748  0.1682  0.8903

Peak list (10 most intense, 2θ from 10° to 90°, in order of falling intensity)
2θ 44.83, d = 2.022 Å, I = 100; 2θ 41.39, d = 2.181 Å, I = 61; 2θ 37.46, d = 2.401 Å, I = 53; 2θ 18.46, d = 4.807 Å, I = 47; 2θ 22.85, d = 3.892 Å, I = 40; 2θ 63.11, d = 1.473 Å, I = 32; 2θ 62.19, d = 1.493 Å, I = 30; 2θ 20.61, d = 4.310 Å, I = 28; 2θ 21.44, d = 4.144 Å, I = 20; 2θ 64.89, d = 1.437 Å, I = 19